# K2Rb4Co2O5
Computed powder diffractogram, Cu Ka. Input: a crystal structure in OQMD, relaxed with GGA+U.

Cell and atoms:
```
K2Rb4Co2O5
1.0
3.4296 -5.8701 0.0000
3.4296 5.8701 0.0000
-0.0561 0.0000 6.7819
K Rb Co O
2 4 2 5
Direct
0.2191 0.7809 0.0000 K
0.7809 0.2191 0.0000 K
0.2375 0.7625 0.5000 Rb
0.3274 0.3274 0.1942 Rb
0.6726 0.6726 0.8058 Rb
0.7625 0.2375 0.5000 Rb
0.2054 0.2054 0.7028 Co
0.7946 0.7946 0.2972 Co
0.0000 0.0000 0.5000 O
0.1544 0.4320 0.7854 O
0.4320 0.1544 0.7854 O
0.5680 0.8456 0.2146 O
0.8456 0.5680 0.2146 O
```

The 6 most intense peaks (2θ = 10–80°), in order of falling intensity:
2.936 Å, 30.45°, I = 100; 2.959 Å, 30.20°, I = 75; 2.402 Å, 37.44°, I = 27; 1.859 Å, 48.99°, I = 24; 2.707 Å, 33.10°, I = 20; 2.421 Å, 37.13°, I = 18